1.
Calculated PXRD pattern of Cs2KCu2F7 for CuKα, from a crystal structure in Alexandria, relaxed with GGA-PBE.

Most intense lines, 5 to 70 degrees two-theta, in order of rising 2θ:
d_spacing  I (rel.)
5.670  12
3.690  42
3.093  100
2.990  69
2.835  15
2.345  25
2.114  47
2.057  15
1.834  12
1.745  37
1.695  12
1.495  14

a b c (Å): 11.728 11.728 11.728
angles (deg): 159.23 159.23 29.54
Sites, in units of the cell vectors:
Cs1 0.182 0.182 0.000
Cs2 0.818 0.818 0.000
K1 0.000 0.000 0.000
Cu1 0.412 0.412 0.000
Cu2 0.588 0.588 0.000
F1 0.086 0.586 0.500
F2 0.324 0.324 0.000
F3 0.414 0.914 0.500
F4 0.500 0.500 0.000
F5 0.586 0.086 0.500
F6 0.676 0.676 0.000
F7 0.914 0.414 0.500

=====

2.
Calculated PXRD pattern of CsK2Cu2F7 for CuKα, from a crystal structure in Alexandria, relaxed with GGA-PBE.

Most intense lines, 5 to 70 degrees two-theta, in order of rising 2θ:
d_spacing  I (rel.)
10.737  95
3.616  24
2.999  100
2.963  66
2.475  17
2.282  18
2.147  24
2.095  51
1.739  21
1.718  38
1.500  26
1.482  15

a b c (Å): 11.139 11.139 11.139
angles (deg): 158.32 158.32 30.86
Sites, in units of the cell vectors:
Cs1 0.000 0.000 0.000
K1 0.185 0.185 0.000
K2 0.815 0.815 0.000
Cu1 0.401 0.401 0.000
Cu2 0.599 0.599 0.000
F1 0.102 0.602 0.500
F2 0.308 0.308 0.000
F3 0.398 0.898 0.500
F4 0.500 0.500 0.000
F5 0.602 0.102 0.500
F6 0.692 0.692 0.000
F7 0.898 0.398 0.500

=====

3.
Calculated PXRD pattern of CsLi2CuF6 for CuKα, from a crystal structure in Alexandria, relaxed with GGA-PBE.

Most intense lines, 5 to 70 degrees two-theta, in order of rising 2θ:
d_spacing  I (rel.)
6.659  22
4.451  100
4.058  60
3.452  39
3.178  89
3.099  41
3.071  67
2.968  23
2.908  27
2.635  19
2.239  43
2.165  21

a b c (Å): 7.109 7.109 6.939
angles (deg): 93.26 93.26 109.99
Sites, in units of the cell vectors:
Cs1 0.096 0.904 0.750
Cs2 0.904 0.096 0.250
Li1 0.347 0.467 0.887
Li2 0.467 0.347 0.387
Li3 0.533 0.653 0.613
Li4 0.653 0.533 0.113
Cu1 0.285 0.715 0.250
Cu2 0.715 0.285 0.750
F1 0.070 0.525 0.317
F2 0.209 0.640 0.999
F3 0.347 0.376 0.621
F4 0.360 0.791 0.501
F5 0.376 0.347 0.121
F6 0.475 0.930 0.183
F7 0.525 0.070 0.817
F8 0.624 0.653 0.879
F9 0.640 0.209 0.499
F10 0.653 0.624 0.379
F11 0.791 0.360 0.001
F12 0.930 0.475 0.683

=====

4.
Calculated PXRD pattern of Cs3NaCu2F6 for CuKα, from a crystal structure in Alexandria, relaxed with GGA-PBE.

Most intense lines, 5 to 70 degrees two-theta, in order of rising 2θ:
d_spacing  I (rel.)
4.532  46
3.802  14
3.259  100
3.153  69
2.646  29
2.534  15
2.266  45
2.001  25
1.881  21
1.860  31
1.629  21
1.447  13

a b c (Å): 6.517 6.517 7.603
angles (deg): 90.00 90.00 120.00
Sites, in units of the cell vectors:
Cs1 0.000 0.000 0.000
Cs2 0.333 0.667 0.691
Cs3 0.667 0.333 0.309
Na1 0.000 0.000 0.500
Cu1 0.333 0.667 0.271
Cu2 0.667 0.333 0.729
F1 0.161 0.323 0.302
F2 0.161 0.839 0.302
F3 0.323 0.161 0.698
F4 0.677 0.839 0.302
F5 0.839 0.161 0.698
F6 0.839 0.677 0.698